The following is a simulated PXRD pattern of U4Ga20Pd11. It was derived from a GGA-PBE-relaxed structure, using a wavelength of 1.5418 Å.
No peak broadening, texture or thermal motion is included.

```
U4Ga20Pd11
1.0
10.7337 -2.1626 0.0000
10.7337 2.1626 0.0000
-9.1036 0.0000 13.0842
U Ga Pd
4 20 11
Direct
0.1188 0.1188 0.3325
0.2257 0.2257 0.8195
0.7743 0.7743 0.1805
0.8812 0.8812 0.6675
0.0053 0.0053 0.0879
0.0671 0.0671 0.8068
0.1040 0.1040 0.5460
0.1989 0.1989 0.0068
0.2566 0.2566 0.2996
0.3011 0.3011 0.5027
0.3663 0.3663 0.7968
0.3871 0.3871 0.3038
0.3968 0.3968 0.9974
0.4563 0.4563 0.6236
0.5437 0.5437 0.3764
0.6032 0.6032 0.0026
0.6129 0.6129 0.6962
0.6337 0.6337 0.2032
0.6989 0.6989 0.4973
0.7434 0.7434 0.7004
0.8011 0.8011 0.9932
0.8960 0.8960 0.4540
0.9329 0.9329 0.1932
0.9947 0.9947 0.9121
0.0281 0.0281 0.6267
0.1349 0.1349 0.1102
0.2409 0.2409 0.6082
0.3438 0.3438 0.1093
0.4934 0.4934 0.8132
0.5000 0.5000 0.5000
0.5066 0.5066 0.1868
0.6562 0.6562 0.8907
0.7591 0.7591 0.3918
0.8650 0.8650 0.8898
0.9719 0.9719 0.3733
```

Main lines, in order of falling intensity (2θ = 10–90°):
d 2.463, rel. 100
d 2.163, rel. 91
d 2.426, rel. 79
d 2.531, rel. 66
d 2.454, rel. 33
d 2.502, rel. 31
d 2.547, rel. 23
d 2.663, rel. 22
d 2.770, rel. 20
d 2.569, rel. 18